Record 1
SrTlBPb: theoretical powder diffraction line list (Cu Kα), based on a DFT-relaxed cell (PBE, Alexandria).

Largest 10 diffraction maxima, most intense first, 2θ from 10° to 90°:
2θ/deg	d (Å)	Rel. int.	index
30.84	2.899	100	1 0 3
29.09	3.070	80	1 1 0
52.68	1.738	46	2 1 3
15.17	5.842	32	0 0 2
41.61	2.171	31	2 0 0
44.00	2.058	21	1 0 5
32.96	2.717	21	1 1 2
62.16	1.493	16	2 1 5
68.33	1.373	14	3 1 0
84.16	1.150	12	3 2 3

Structure:
```
data_SrTlBPb
_space_group_name_H-M_alt 'I 4 m m'
_space_group_IT_number 107
_space_group_name_Hall 'I 4 -2'
_cell_length_a 4.3413
_cell_length_b 4.3413
_cell_length_c 11.6845
_cell_angle_alpha 90.00
_cell_angle_beta 90.00
_cell_angle_gamma 90.00
loop_
_atom_site_label
_atom_site_fract_x
_atom_site_fract_y
_atom_site_fract_z
Sr1 0.0000 0.0000 0.0000
Tl1 0.0000 0.0000 0.6976
B1 0.0000 0.0000 0.5006
Pb1 0.0000 0.0000 0.3079
```

---

Record 2
Eu4Bi2Cl: theoretical powder diffraction line list (Cu Kα), based on a DFT-relaxed cell (PBE, Alexandria).

Largest 10 diffraction maxima, most intense first, 2θ from 10° to 90°:
2θ/deg	d (Å)	Rel. int.	index
31.35	2.853	100	1 1 4
33.45	2.679	84	2 0 0
25.66	3.472	71	1 1 2
30.70	2.913	45	1 0 5
58.49	1.578	40	3 1 4
23.49	3.788	37	1 1 0
46.19	1.965	32	2 0 6
48.04	1.894	31	2 2 0
46.04	1.972	30	2 1 5
30.92	2.892	24	0 0 6

Structure:
```
data_Eu4Bi2Cl
_space_group_name_H-M_alt 'I 4/m m m'
_space_group_IT_number 139
_space_group_name_Hall '-I 4 2'
_cell_length_a 5.3571
_cell_length_b 5.3571
_cell_length_c 17.3523
_cell_angle_alpha 90.00
_cell_angle_beta 90.00
_cell_angle_gamma 90.00
loop_
_atom_site_label
_atom_site_fract_x
_atom_site_fract_y
_atom_site_fract_z
Eu1 0.0000 0.0000 0.1776
Eu2 0.0000 0.5000 0.0000
Bi1 0.0000 0.0000 0.3680
Cl1 0.0000 0.0000 0.0000
```